Starting from a crystal structure in Alexandria, relaxed with GGA+U, the powder diffraction line list of FeH8Cl2O4 was computed for Cu Kα, 1.54184 Å.

Largest 12 diffraction maxima, sorted by position, 2θ from 15° to 90°:
| d [Å] | I/Imax |
| --- | --- |
| 5.472 | 100 |
| 4.463 | 34 |
| 4.430 | 14 |
| 3.955 | 55 |
| 3.458 | 12 |
| 3.118 | 65 |
| 2.760 | 17 |
| 2.631 | 12 |
| 2.233 | 37 |
| 2.215 | 40 |
| 2.122 | 28 |
| 1.754 | 17 |

Structural model:
```
data_FeH8Cl2O4
_chemical_formula_sum 'Fe2 H16 Cl4 O8'
_cell_length_a 5.843
_cell_length_b 7.603
_cell_length_c 8.487
_cell_angle_alpha 90.00
_cell_angle_beta 111.13
_cell_angle_gamma 90.00
_space_group_name_H-M_alt 'P 1 21/c 1'
_space_group_IT_number 14
loop_
_space_group_symop_operation_xyz
'x,y,z'
'-x,-y,-z'
'-x,y+1/2,-z+1/2'
'x,-y+1/2,z+1/2'
loop_
_atom_site_label
_atom_site_fract_x
_atom_site_fract_y
_atom_site_fract_z
Fe1 0.000 0.000 0.000
H1 0.094 0.077 0.702
H2 0.105 0.074 0.347
H3 0.399 0.701 0.506
H4 0.402 0.693 0.691
Cl1 0.296 0.234 0.572
O1 0.005 0.502 0.753
O2 0.292 0.681 0.572
```